The following is a theoretical powder diffraction line list of MgW2O4. It was derived from a DFT-relaxed cell (GGA+U, the Materials Project), using Cu Kα, 1.54184 Å.

Main lines, sorted by position (10° ≤ 2θ ≤ 90°):
2θ (°)  I_rel
17.3  50
28.3  100
32.6  97
32.7  69
33.0  38
33.2  83
33.5  38
34.2  58
39.9  30
58.4  34

Structure:
a b c (Å): 6.3207 6.3207 21.0059
angles (deg): 98.32 98.32 61.78
Atoms (fractional coordinates):
1 Mg 0.0000 0.0000 0.0000
2 Mg 0.2770 0.2770 0.7522
3 Mg 0.4044 0.4044 0.6316
4 Mg 0.5079 0.5079 0.5036
5 Mg 0.5236 0.5236 0.0969
6 Mg 0.6351 0.6351 0.3780
7 Mg 0.7557 0.7557 0.2499
8 Mg 0.7975 0.7975 0.8457
9 W 0.0004 0.5012 0.0034
10 W 0.0160 0.5094 0.5079
11 W 0.0286 0.0286 0.5834
12 W 0.1406 0.1406 0.8752
13 W 0.2288 0.2288 0.1677
14 W 0.2548 0.7581 0.2489
15 W 0.2753 0.2753 0.3145
16 W 0.2839 0.7845 0.7476
17 W 0.4821 0.4821 0.9028
18 W 0.5012 0.0004 0.0034
19 W 0.5094 0.0160 0.5079
20 W 0.7581 0.2548 0.2489
21 W 0.7776 0.7776 0.6553
22 W 0.7845 0.2839 0.7476
23 W 0.8696 0.8696 0.1180
24 W 0.9910 0.9910 0.4410
25 O 0.0372 0.0372 0.1808
26 O 0.0464 0.6080 0.1826
27 O 0.0983 0.0983 0.6934
28 O 0.1142 0.5717 0.6932
29 O 0.1683 0.7046 0.0620
30 O 0.1823 0.1823 0.0573
31 O 0.2171 0.2171 0.5735
32 O 0.2331 0.6664 0.5681
33 O 0.2917 0.8437 0.9392
34 O 0.3128 0.3128 0.9492
35 O 0.3264 0.3264 0.4568
36 O 0.3537 0.8062 0.4437
37 O 0.4385 0.9872 0.8140
38 O 0.4623 0.4623 0.3127
39 O 0.4647 0.9140 0.3132
40 O 0.4691 0.4691 0.8026
41 O 0.5717 0.1142 0.6932
42 O 0.5754 0.5754 0.1939
43 O 0.5904 0.5904 0.6897
44 O 0.6080 0.0464 0.1826
45 O 0.6664 0.2331 0.5681
46 O 0.6887 0.6887 0.0619
47 O 0.6890 0.6890 0.5628
48 O 0.7046 0.1683 0.0620
49 O 0.8052 0.8052 0.4439
50 O 0.8062 0.3537 0.4437
51 O 0.8159 0.8159 0.9464
52 O 0.8437 0.2917 0.9392
53 O 0.9140 0.4647 0.3132
54 O 0.9358 0.9358 0.2982
55 O 0.9663 0.9663 0.8067
56 O 0.9872 0.4385 0.8140

The following is a theoretical powder diffraction line list of CoH2O2. It was derived from a DFT-relaxed cell (GGA+U, the Materials Project), using Cu Kα, 1.54184 Å.

Main lines, sorted by position (10° ≤ 2θ ≤ 90°):
2θ (°)  I_rel
17.9  100
31.0  16
33.7  14
34.0  35
36.6  24
41.1  23
45.3  12
48.1  14
51.1  8
55.6  10

Structure:
a b c (Å): 3.0753 3.2590 5.0361
angles (deg): 80.63 82.86 62.96
Atoms (fractional coordinates):
1 Co 0.0000 0.0000 0.0000
2 H 0.3991 0.4726 0.6065
3 H 0.4525 0.9820 0.3886
4 O 0.3634 0.3932 0.8022
5 O 0.5564 0.7690 0.2531

The following is a theoretical powder diffraction line list of MgNiHO2. It was derived from a DFT-relaxed cell (GGA+U, the Materials Project), using Cu Kα, 1.54184 Å.

Main lines, sorted by position (10° ≤ 2θ ≤ 90°):
2θ (°)  I_rel
12.8  100
25.7  13
33.9  33
36.3  26
43.0  36
52.6  33
60.6  15
62.2  8
77.8  6
84.4  7

Structure:
a b c (Å): 3.0548 3.0548 6.9337
angles (deg): 90.00 90.00 120.00
Atoms (fractional coordinates):
1 Mg 0.0000 0.0000 0.0000
2 Ni 0.0000 0.0000 0.3669
3 H 0.3333 0.6667 0.6442
4 O 0.3333 0.6667 0.5017
5 O 0.6667 0.3333 0.1644